Calculated X-ray diffraction stick pattern of La2TiMnO6 for Cu Ka, from a structure optimized by DFT (PBE+U).
Lines closer than 0.1° are merged.

Top 10 peaks for 15° ≤ 2θ ≤ 90°, sorted by position:
hkl  Position (°2θ)  intensity
0 0 2  22.09  30
0 2 0  31.04  22
1 1 -3  31.46  100
2 0 -2  31.75  24
2 2 -2  44.99  24
0 0 4  45.18  14
1 3 -2  51.54  11
1 3 -3  55.48  12
3 1 -1  56.32  16
3 1 -5  56.43  12

Crystal structure
Cell lengths 5.637, 5.763, 9.796 Å; angles 90.00, 124.97, 90.00 degrees
Fractional positions:
La (0.240, 0.046, 0.251)
La (0.240, 0.454, 0.751)
La (0.760, 0.546, 0.249)
La (0.760, 0.954, 0.749)
Ti (0.000, 0.000, 0.500)
Ti (0.000, 0.500, 0.000)
Mn (0.500, 0.000, 0.000)
Mn (0.500, 0.500, 0.500)
O (0.138, 0.217, 0.947)
O (0.138, 0.283, 0.447)
O (0.232, 0.693, 0.951)
O (0.232, 0.807, 0.451)
O (0.333, 0.030, 0.737)
O (0.333, 0.470, 0.237)
O (0.667, 0.530, 0.763)
O (0.667, 0.970, 0.263)
O (0.768, 0.193, 0.549)
O (0.768, 0.307, 0.049)
O (0.862, 0.717, 0.553)
O (0.862, 0.783, 0.053)